# 1
Theoretical PXRD pattern of InCoAgTeSe2 for copper Kα, from DFT lattice parameters and positions (GGA-PBE).

Peak list (10 most intense, 2θ from 10° to 80°, low angle first)
two_theta  I (rel.)
11.91  16
16.90  16
31.46  100
34.18  54
35.92  24
40.27  23
43.64  20
47.13  60
52.70  15
64.32  16

```
data_InCoAgTeSe2
_cell_length_a 7.6300
_cell_length_b 7.6300
_cell_length_c 10.4947
_cell_angle_alpha 90.00
_cell_angle_beta 90.00
_cell_angle_gamma 153.68
_symmetry_space_group_name_H-M 'P 1'
_symmetry_Int_Tables_number 1
loop_
_symmetry_equiv_pos_as_xyz
'x,y,z'
loop_
_atom_site_label
_atom_site_fract_x
_atom_site_fract_y
_atom_site_fract_z
In1 0.1875 0.8125 0.7500
In2 0.8125 0.1875 0.2500
Co1 0.5000 0.5000 0.0000
Co2 0.5000 0.5000 0.5000
Ag1 0.1610 0.8390 0.2500
Ag2 0.8390 0.1610 0.7500
Te1 0.4900 0.5100 0.2500
Te2 0.5100 0.4900 0.7500
Se1 0.1092 0.8908 0.0037
Se2 0.1092 0.8908 0.4963
Se3 0.8908 0.1092 0.5037
Se4 0.8908 0.1092 0.9963
```

# 2
Theoretical PXRD pattern of NaTa3Ge5 for copper Kα, from DFT lattice parameters and positions (GGA-PBE).

Peak list (10 most intense, 2θ from 10° to 80°, low angle first)
two_theta  I (rel.)
13.23  100
18.18  37
26.65  18
34.54  18
36.84  28
39.30  85
40.44  24
46.04  70
66.36  19
67.97  26

```
data_NaTa3Ge5
_cell_length_a 5.6348
_cell_length_b 5.6348
_cell_length_c 6.6908
_cell_angle_alpha 90.00
_cell_angle_beta 90.00
_cell_angle_gamma 120.00
_symmetry_space_group_name_H-M 'P 1'
_symmetry_Int_Tables_number 1
loop_
_symmetry_equiv_pos_as_xyz
'x,y,z'
loop_
_atom_site_label
_atom_site_fract_x
_atom_site_fract_y
_atom_site_fract_z
Na1 0.0000 0.0000 0.0000
Ta1 0.0000 0.5000 0.5000
Ta2 0.5000 0.0000 0.5000
Ta3 0.5000 0.5000 0.5000
Ge1 0.0000 0.0000 0.5000
Ge2 0.3333 0.6667 0.1828
Ge3 0.3333 0.6667 0.8172
Ge4 0.6667 0.3333 0.1828
Ge5 0.6667 0.3333 0.8172
```